# Ba2BeNiO4
Simulated powder X-ray diffraction pattern, copper Kα. Input: a crystal structure in Alexandria, relaxed with PBE+U.
Kinematic intensities with the Lorentz-polarization factor, no thermal factor.

Principal peaks in the range 2θ = 10–80°, by intensity:
d [Å], two_theta, I (rel.)
2.819, 31.74, 100
4.186, 21.22, 46
3.596, 24.76, 44
2.313, 38.93, 44
2.912, 30.71, 39
2.614, 34.30, 36
2.141, 42.20, 33
2.693, 33.27, 27
1.907, 47.69, 24
1.556, 59.38, 23

Structure:
```
16
Lattice="0.0000 5.3861 9.9269 2.3337 0.0000 9.9269 2.3337 5.3861 0.0000" Properties=species:S:1:pos:R:3 pbc="T T T"
Ba 1.7503 4.0396 1.0431
Ba 2.9171 6.7327 6.0066
Ba 1.7503 4.0396 13.8472
Ba 2.9171 6.7327 18.8107
Be 1.7503 4.0396 7.4452
Be 2.9171 6.7327 12.4086
Ni 0.5834 1.3465 2.4817
Ni 4.0840 9.4257 17.3721
O 2.7403 3.0104 6.5433
O 2.7403 5.0688 8.3470
O 3.9071 5.7034 13.3104
O 3.9071 7.7619 11.5068
O 0.7603 3.0104 8.3470
O 0.7603 5.0688 6.5433
O 1.9272 5.7034 11.5068
O 1.9272 7.7619 13.3104
```